1.
The following is a calculated powder XRD pattern of Ac3MgS6. It was derived from a crystal structure in Alexandria, relaxed with PBE, using Cu Kα (λ = 1.5418 Å).
Kinematic intensities with the Lorentz-polarization factor, no thermal factor.

Largest 10 diffraction maxima, in order of rising 2θ, 5° ≤ 2θ ≤ 70°:
- 16.42 deg, d 5.400, I 49, hkl 1 1 1
- 17.97 deg, d 4.936, I 19, hkl 0 2 1
- 23.20 deg, d 3.834, I 25, hkl 3 1 0
- 23.41 deg, d 3.800, I 100, hkl 2 2 1
- 23.72 deg, d 3.751, I 40, hkl 1 3 1
- 35.76 deg, d 2.511, I 39, hkl 3 1 2
- 36.40 deg, d 2.468, I 34, hkl 0 4 2
- 38.01 deg, d 2.368, I 30, hkl 3 5 0
- 42.01 deg, d 2.151, I 20, hkl 2 6 1
- 44.40 deg, d 2.040, I 18, hkl 5 3 1

Crystal structure
Cell: 11.911 14.746 6.645 Å, 90.00 90.00 90.00°
Space group Cmc2_1 (No. 36)
Asymmetric unit:
Ac  0.000  0.115  0.000 (multiplicity 4)
Ac  0.183  0.388  0.065 (multiplicity 8)
Mg  0.000  0.309  0.612 (multiplicity 4)
S  0.000  0.282  0.253 (multiplicity 4)
S  0.000  0.468  0.757 (multiplicity 4)
S  0.159  0.014  0.285 (multiplicity 8)
S  0.161  0.237  0.777 (multiplicity 8)

2.
The following is a calculated powder XRD pattern of Sc2TeSe2O10. It was derived from a crystal structure in Alexandria, relaxed with PBE, using Cu Kα (λ = 1.5418 Å).
Kinematic intensities with the Lorentz-polarization factor, no thermal factor.

Largest 10 diffraction maxima, in order of rising 2θ, 5° ≤ 2θ ≤ 70°:
- 21.25 deg, d 4.180, I 25, hkl 1 2 -1
- 22.78 deg, d 3.904, I 100, hkl 0 1 3
- 23.86 deg, d 3.729, I 32, hkl 1 2 -2
- 26.66 deg, d 3.344, I 30, hkl 0 2 3
- 27.37 deg, d 3.259, I 26, hkl 2 0 0
- 28.50 deg, d 3.131, I 30, hkl 2 0 -2
- 29.04 deg, d 3.075, I 43, hkl 1 3 1
- 32.21 deg, d 2.779, I 16, hkl 1 3 2
- 32.67 deg, d 2.741, I 21, hkl 2 1 -3
- 50.01 deg, d 1.824, I 17, hkl 3 3 -3

Crystal structure
Cell: 6.628 11.230 12.710 Å, 90.00 100.49 90.00°
Space group P2_1/c (No. 14)
Asymmetric unit:
Sc  0.195  0.154  0.408 (multiplicity 4)
Sc  0.247  0.698  0.530 (multiplicity 4)
Te  0.324  0.522  0.167 (multiplicity 4)
Se  0.123  0.652  0.780 (multiplicity 4)
Se  0.298  0.108  0.041 (multiplicity 4)
O  0.060  0.522  0.831 (multiplicity 4)
O  0.077  0.192  0.002 (multiplicity 4)
O  0.094  0.223  0.768 (multiplicity 4)
O  0.147  0.647  0.097 (multiplicity 4)
O  0.247  0.522  0.472 (multiplicity 4)
O  0.267  0.734  0.875 (multiplicity 4)
O  0.268  0.621  0.688 (multiplicity 4)
O  0.303  0.078  0.548 (multiplicity 4)
O  0.428  0.190  0.957 (multiplicity 4)
O  0.436  0.108  0.340 (multiplicity 4)

3.
The following is a calculated powder XRD pattern of Sc4GaPtO. It was derived from a crystal structure in Alexandria, relaxed with PBE, using Cu Kα (λ = 1.5418 Å).
Kinematic intensities with the Lorentz-polarization factor, no thermal factor.

Largest 10 diffraction maxima, in order of rising 2θ, 5° ≤ 2θ ≤ 70°:
- 15.89 deg, d 5.578, I 27, hkl 1 1 0
- 19.39 deg, d 4.578, I 34, hkl 0 2 1
- 21.64 deg, d 4.106, I 52, hkl 1 1 1
- 28.28 deg, d 3.156, I 36, hkl 1 3 1
- 29.40 deg, d 3.038, I 68, hkl 2 0 0
- 32.13 deg, d 2.786, I 31, hkl 2 2 0
- 35.42 deg, d 2.535, I 20, hkl 2 2 1
- 38.47 deg, d 2.340, I 45, hkl 1 5 1
- 39.33 deg, d 2.291, I 100, hkl 2 4 0
- 42.06 deg, d 2.148, I 68, hkl 2 0 2

Crystal structure
Cell: 6.086 13.950 6.067 Å, 90.00 90.00 90.00°
Space group Cmcm (No. 63)
Asymmetric unit:
Sc  0.000  0.067  0.250 (multiplicity 4)
Sc  0.000  0.421  0.250 (multiplicity 4)
Sc  0.250  0.250  0.000 (multiplicity 8)
Ga  0.000  0.382  0.750 (multiplicity 4)
Pt  0.000  0.118  0.750 (multiplicity 4)
O  0.000  0.253  0.250 (multiplicity 4)

4.
The following is a calculated powder XRD pattern of NdMgGa6. It was derived from a crystal structure in Alexandria, relaxed with PBE, using Cu Kα (λ = 1.5418 Å).
Kinematic intensities with the Lorentz-polarization factor, no thermal factor.

Largest 10 diffraction maxima, in order of rising 2θ, 5° ≤ 2θ ≤ 70°:
- 29.20 deg, d 3.058, I 19, hkl 1 1 1
- 31.67 deg, d 2.825, I 26, hkl 0 2 1
- 32.17 deg, d 2.783, I 16, hkl 0 0 2
- 37.81 deg, d 2.379, I 100, hkl 1 2 1
- 38.24 deg, d 2.354, I 39, hkl 1 0 2
- 40.92 deg, d 2.206, I 28, hkl 2 0 0
- 52.64 deg, d 1.739, I 12, hkl 2 2 1
- 56.09 deg, d 1.640, I 8, hkl 0 4 0
- 57.04 deg, d 1.615, I 12, hkl 0 2 3
- 69.91 deg, d 1.346, I 11, hkl 1 4 2

Crystal structure
Cell: 4.411 6.559 5.566 Å, 90.00 90.00 90.00°
Space group Pmm2 (No. 25)
Asymmetric unit:
Nd  0.000  0.000  0.000 (multiplicity 1)
Mg  0.500  0.500  0.287 (multiplicity 1)
Ga  0.000  0.267  0.486 (multiplicity 2)
Ga  0.000  0.500  0.960 (multiplicity 1)
Ga  0.500  0.000  0.426 (multiplicity 1)
Ga  0.500  0.287  0.798 (multiplicity 2)

5.
The following is a calculated powder XRD pattern of Tb2Tm2Mg3. It was derived from a crystal structure in Alexandria, relaxed with PBE, using Cu Kα (λ = 1.5418 Å).
Kinematic intensities with the Lorentz-polarization factor, no thermal factor.

Largest 10 diffraction maxima, in order of rising 2θ, 5° ≤ 2θ ≤ 70°:
- 24.09 deg, d 3.695, I 42, hkl 1 0 1
- 25.70 deg, d 3.467, I 21, hkl 0 0 8
- 32.97 deg, d 2.716, I 100, hkl 1 0 7
- 34.01 deg, d 2.636, I 48, hkl 1 1 0
- 43.09 deg, d 2.099, I 15, hkl 1 1 8
- 48.87 deg, d 1.864, I 17, hkl 2 0 0
- 55.42 deg, d 1.658, I 10, hkl 1 0 15
- 58.21 deg, d 1.585, I 18, hkl 1 1 14
- 60.21 deg, d 1.537, I 36, hkl 2 1 7
- 69.16 deg, d 1.358, I 11, hkl 2 0 14

Crystal structure
Cell: 3.728 3.728 27.768 Å, 90.00 90.00 90.00°
Space group I4/mmm (No. 139)
Asymmetric unit:
Tb  0.000  0.000  0.069 (multiplicity 4)
Tm  0.000  0.000  0.209 (multiplicity 4)
Mg  0.000  0.000  0.360 (multiplicity 4)
Mg  0.000  0.000  0.500 (multiplicity 2)

6.
The following is a calculated powder XRD pattern of Ce2Sb2Pd. It was derived from a crystal structure in Alexandria, relaxed with PBE, using Cu Kα (λ = 1.5418 Å).
Kinematic intensities with the Lorentz-polarization factor, no thermal factor.

Largest 10 diffraction maxima, in order of rising 2θ, 5° ≤ 2θ ≤ 70°:
- 26.35 deg, d 3.382, I 33, hkl 2 1 0
- 32.34 deg, d 2.768, I 100, hkl 1 2 1
- 32.52 deg, d 2.753, I 65, hkl 2 0 1
- 33.54 deg, d 2.672, I 29, hkl 1 3 0
- 34.19 deg, d 2.622, I 18, hkl 2 1 1
- 40.13 deg, d 2.247, I 39, hkl 1 3 1
- 42.43 deg, d 2.130, I 37, hkl 3 2 0
- 43.59 deg, d 2.076, I 29, hkl 0 0 2
- 44.17 deg, d 2.051, I 14, hkl 3 1 1
- 62.46 deg, d 1.487, I 23, hkl 3 2 2

Crystal structure
Cell: 7.356 8.604 4.153 Å, 90.00 90.00 90.00°
Space group Pbam (No. 55)
Asymmetric unit:
Ce  0.097  0.144  0.000 (multiplicity 4)
Sb  0.232  0.401  0.500 (multiplicity 4)
Pd  0.000  0.500  0.000 (multiplicity 2)

7.
The following is a calculated powder XRD pattern of Pr3In2Pb. It was derived from a crystal structure in Alexandria, relaxed with PBE, using Cu Kα (λ = 1.5418 Å).
Kinematic intensities with the Lorentz-polarization factor, no thermal factor.

Largest 10 diffraction maxima, in order of rising 2θ, 5° ≤ 2θ ≤ 70°:
- 31.28 deg, d 2.859, I 57, hkl 2 0 0
- 32.83 deg, d 2.728, I 100, hkl 1 3 1
- 44.83 deg, d 2.022, I 21, hkl 2 6 0
- 49.33 deg, d 1.847, I 8, hkl 0 0 2
- 56.61 deg, d 1.626, I 21, hkl 1 9 1
- 56.72 deg, d 1.623, I 21, hkl 3 3 1
- 59.58 deg, d 1.552, I 18, hkl 2 0 2
- 65.16 deg, d 1.432, I 3, hkl 0 12 0
- 65.36 deg, d 1.428, I 4, hkl 4 0 0
- 68.84 deg, d 1.364, I 12, hkl 2 6 2

Crystal structure
Cell: 5.711 17.181 3.695 Å, 90.00 90.00 90.00°
Space group Pmmn (No. 59, origin choice 2)
Asymmetric unit:
Pr  0.250  0.083  0.001 (multiplicity 4)
Pr  0.250  0.750  0.000 (multiplicity 2)
In  0.250  0.582  0.500 (multiplicity 4)
Pb  0.250  0.250  0.501 (multiplicity 2)

8.
The following is a calculated powder XRD pattern of InRhO3. It was derived from a crystal structure in Alexandria, relaxed with PBE, using Cu Kα (λ = 1.5418 Å).
Kinematic intensities with the Lorentz-polarization factor, no thermal factor.

Largest 10 diffraction maxima, in order of rising 2θ, 5° ≤ 2θ ≤ 70°:
- 19.08 deg, d 4.652, I 25, hkl 2 0 -1
- 27.24 deg, d 3.274, I 32, hkl 4 0 0
- 31.36 deg, d 2.853, I 43, hkl 2 0 -2
- 32.04 deg, d 2.793, I 22, hkl 4 0 1
- 32.28 deg, d 2.773, I 100, hkl 1 1 1
- 33.39 deg, d 2.684, I 23, hkl 2 0 2
- 36.92 deg, d 2.435, I 26, hkl 3 1 -1
- 42.88 deg, d 2.109, I 28, hkl 6 0 -1
- 53.19 deg, d 1.722, I 29, hkl 1 1 -3
- 56.84 deg, d 1.620, I 40, hkl 0 2 0

Crystal structure
Cell: 13.138 3.239 6.118 Å, 90.00 94.57 90.00°
Space group C2/m (No. 12)
Asymmetric unit:
In  0.144  0.000  0.394 (multiplicity 4)
Rh  0.074  0.500  0.885 (multiplicity 4)
O  0.017  0.000  0.715 (multiplicity 4)
O  0.139  0.000  0.041 (multiplicity 4)
O  0.181  0.500  0.604 (multiplicity 4)

9.
The following is a calculated powder XRD pattern of Y2ZnCu6. It was derived from a crystal structure in Alexandria, relaxed with PBE, using Cu Kα (λ = 1.5418 Å).
Kinematic intensities with the Lorentz-polarization factor, no thermal factor.

Largest 10 diffraction maxima, in order of rising 2θ, 5° ≤ 2θ ≤ 70°:
- 36.43 deg, d 2.466, I 30, hkl 0 2 1
- 36.52 deg, d 2.460, I 16, hkl 3 1 1
- 37.18 deg, d 2.418, I 45, hkl 1 1 -2
- 37.28 deg, d 2.412, I 16, hkl 2 0 2
- 37.88 deg, d 2.375, I 17, hkl 4 0 0
- 41.26 deg, d 2.188, I 100, hkl 4 0 -1
- 50.26 deg, d 1.815, I 13, hkl 2 2 -2
- 60.72 deg, d 1.525, I 9, hkl 3 3 -1
- 61.22 deg, d 1.514, I 10, hkl 4 2 -2
- 68.46 deg, d 1.370, I 15, hkl 6 2 0

Crystal structure
Cell: 9.488 5.493 5.613 Å, 90.00 90.19 90.00°
Space group C2/m (No. 12)
Asymmetric unit:
Y  0.167  0.000  0.346 (multiplicity 4)
Zn  0.000  0.500  0.500 (multiplicity 2)
Cu  0.090  0.230  0.839 (multiplicity 8)
Cu  0.179  0.500  0.162 (multiplicity 4)

10.
The following is a calculated powder XRD pattern of Cs2Tl17Hg3. It was derived from a crystal structure in Alexandria, relaxed with PBE, using Cu Kα (λ = 1.5418 Å).
Kinematic intensities with the Lorentz-polarization factor, no thermal factor.

Largest 10 diffraction maxima, in order of rising 2θ, 5° ≤ 2θ ≤ 70°:
- 28.34 deg, d 3.149, I 48, hkl 0 4 0
- 29.22 deg, d 3.057, I 100, hkl 2 2 2
- 30.02 deg, d 2.977, I 78, hkl 4 0 -2
- 32.15 deg, d 2.784, I 23, hkl 2 4 -1
- 32.93 deg, d 2.720, I 24, hkl 3 1 -3
- 33.69 deg, d 2.660, I 33, hkl 2 4 1
- 34.47 deg, d 2.602, I 33, hkl 0 4 2
- 41.47 deg, d 2.178, I 37, hkl 2 2 -4
- 41.74 deg, d 2.164, I 25, hkl 4 4 -2
- 60.57 deg, d 1.529, I 29, hkl 4 4 4

Crystal structure
Cell: 13.543 12.597 9.400 Å, 90.00 100.83 90.00°
Space group C2/m (No. 12)
Asymmetric unit:
Cs  0.159  0.000  0.348 (multiplicity 4)
Tl  0.000  0.240  0.000 (multiplicity 4)
Tl  0.000  0.500  0.500 (multiplicity 2)
Tl  0.075  0.243  0.670 (multiplicity 8)
Tl  0.112  0.500  0.898 (multiplicity 4)
Tl  0.126  0.375  0.253 (multiplicity 8)
Tl  0.164  0.000  0.812 (multiplicity 4)
Tl  0.250  0.250  0.000 (multiplicity 4)
Hg  0.000  0.000  0.000 (multiplicity 2)
Hg  0.250  0.250  0.500 (multiplicity 4)

11.
The following is a calculated powder XRD pattern of La5N4F. It was derived from a crystal structure in Alexandria, relaxed with PBE, using Cu Kα (λ = 1.5418 Å).
Kinematic intensities with the Lorentz-polarization factor, no thermal factor.

Largest 10 diffraction maxima, in order of rising 2θ, 5° ≤ 2θ ≤ 70°:
- 29.08 deg, d 3.071, I 62, hkl 0 1 5
- 29.37 deg, d 3.041, I 64, hkl 1 1 0
- 33.87 deg, d 2.646, I 100, hkl 0 2 0
- 48.28 deg, d 1.885, I 10, hkl 0 0 10
- 48.66 deg, d 1.871, I 46, hkl 1 2 5
- 49.03 deg, d 1.858, I 12, hkl 2 0 0
- 57.52 deg, d 1.602, I 17, hkl 1 1 10
- 58.02 deg, d 1.590, I 19, hkl 2 1 5
- 60.28 deg, d 1.535, I 10, hkl 0 2 10
- 60.93 deg, d 1.520, I 12, hkl 2 2 0

Crystal structure
Cell: 3.716 5.292 18.850 Å, 90.00 90.00 90.00°
Space group Immm (No. 71)
Asymmetric unit:
La  0.000  0.000  0.000 (multiplicity 2)
La  0.000  0.000  0.200 (multiplicity 4)
La  0.000  0.000  0.390 (multiplicity 4)
N  0.000  0.500  0.195 (multiplicity 4)
N  0.000  0.500  0.404 (multiplicity 4)
F  0.000  0.500  0.000 (multiplicity 2)

12.
The following is a calculated powder XRD pattern of CaNi4Sb12. It was derived from a crystal structure in Alexandria, relaxed with PBE, using Cu Kα (λ = 1.5418 Å).
Kinematic intensities with the Lorentz-polarization factor, no thermal factor.

Largest 10 diffraction maxima, in order of rising 2θ, 5° ≤ 2θ ≤ 70°:
- 30.30 deg, d 2.949, I 100, hkl 3 0 1
- 36.03 deg, d 2.493, I 41, hkl 3 1 2
- 41.06 deg, d 2.198, I 7, hkl 3 3 0
- 43.39 deg, d 2.086, I 21, hkl 4 2 0
- 45.62 deg, d 1.989, I 9, hkl 3 3 2
- 47.77 deg, d 1.904, I 19, hkl 4 2 2
- 49.85 deg, d 1.829, I 22, hkl 4 3 1
- 57.63 deg, d 1.600, I 19, hkl 5 3 0
- 59.46 deg, d 1.554, I 10, hkl 6 0 0
- 68.19 deg, d 1.375, I 18, hkl 6 1 3

Crystal structure
Cell: 9.327 9.327 9.327 Å, 90.00 90.00 90.00°
Space group Im-3 (No. 204)
Asymmetric unit:
Ca  0.000  0.000  0.000 (multiplicity 2)
Ni  0.250  0.250  0.250 (multiplicity 8)
Sb  0.000  0.336  0.161 (multiplicity 24)